1.
This entry pairs a crystal structure of MgFeSiO5 with its computed XRD peak list. Radiation: CuKα. Structure: a cell relaxed with PBE+U.
No peak broadening, texture or thermal motion is included.

Structural model:
a b c (Å): 6.8200 8.3913 7.0070
angles (deg): 90.00 115.69 90.00
Space group Cc (No. 9)
Symmetry-distinct sites (fractional):
Mg1 0.0000 0.1796 0.0000 x4
Fe1 0.4363 0.0104 0.6962 x4
Si1 0.4197 0.3410 0.9407 x4
O1 0.1213 0.0453 0.6002 x4
O2 0.2526 0.4920 0.8273 x4
O3 0.3331 0.2185 0.0701 x4
O4 0.4335 0.0842 0.4410 x4
O5 0.4795 0.2466 0.7691 x4

Main lines, most intense first (10° ≤ 2θ ≤ 90°):
2θ = 27.7°, rel. 1000
2θ = 29.1°, rel. 604
2θ = 35.3°, rel. 417
2θ = 17.9°, rel. 402
2θ = 52.4°, rel. 286
2θ = 35.6°, rel. 249
2θ = 45.6°, rel. 222
2θ = 63.6°, rel. 220



2.
This entry pairs a crystal structure of MgTi4FeO10 with its computed XRD peak list. Radiation: CuKα. Structure: a cell relaxed with PBE+U.
No peak broadening, texture or thermal motion is included.

Structural model:
a b c (Å): 10.1863 3.7594 9.8708
angles (deg): 90.00 90.00 90.00
Space group Amm2 (No. 38)
Symmetry-distinct sites (fractional):
Mg1 0.0000 0.0000 0.0000 x2
Ti1 0.1810 0.0000 0.6723 x4
Ti2 0.3153 0.0000 0.9377 x4
Fe1 0.5000 0.0000 0.6110 x2
O1 0.0000 0.0000 0.5884 x2
O2 0.1359 0.0000 0.8501 x4
O3 0.1867 0.0000 0.1178 x4
O4 0.3078 0.0000 0.4901 x4
O5 0.3603 0.0000 0.7586 x4
O6 0.5000 0.0000 0.0091 x2

Main lines, most intense first (10° ≤ 2θ ≤ 90°):
2θ = 25.4°, rel. 1000
2θ = 32.0°, rel. 670
2θ = 48.4°, rel. 433
2θ = 18.0°, rel. 305
2θ = 55.6°, rel. 206
2θ = 36.8°, rel. 204
2θ = 59.2°, rel. 198
2θ = 36.3°, rel. 179



3.
This entry pairs a crystal structure of Mg6VFeO8 with its computed XRD peak list. Radiation: CuKα. Structure: a cell relaxed with PBE+U.
No peak broadening, texture or thermal motion is included.

Structural model:
a b c (Å): 4.3193 4.3193 8.5315
angles (deg): 90.00 90.00 90.00
Space group P4/mmm (No. 123)
Symmetry-distinct sites (fractional):
Mg1 0.0000 0.0000 0.0000 x1
Mg2 0.0000 0.5000 0.2491 x4
Mg3 0.5000 0.5000 0.0000 x1
V1 0.0000 0.0000 0.5000 x1
Fe1 0.5000 0.5000 0.5000 x1
O1 0.0000 0.0000 0.2438 x2
O2 0.0000 0.5000 0.0000 x2
O3 0.0000 0.5000 0.5000 x2
O4 0.5000 0.5000 0.2478 x2

Main lines, most intense first (10° ≤ 2θ ≤ 90°):
2θ = 41.8°, rel. 1000
2θ = 61.1°, rel. 552
2θ = 42.4°, rel. 478
2θ = 36.2°, rel. 347
2θ = 10.4°, rel. 317
2θ = 60.6°, rel. 283
2θ = 76.8°, rel. 253
2θ = 72.7°, rel. 118



4.
This entry pairs a crystal structure of YMg6FeO8 with its computed XRD peak list. Radiation: CuKα. Structure: a cell relaxed with PBE+U.
No peak broadening, texture or thermal motion is included.

Structural model:
a b c (Å): 4.3952 4.3952 9.0140
angles (deg): 90.00 90.00 90.00
Space group P4/mmm (No. 123)
Symmetry-distinct sites (fractional):
Y1 0.0000 0.0000 0.0000 x1
Mg1 0.0000 0.5000 0.2729 x4
Mg2 0.5000 0.5000 0.0000 x1
Mg3 0.5000 0.5000 0.5000 x1
Fe1 0.0000 0.0000 0.5000 x1
O1 0.0000 0.0000 0.2463 x2
O2 0.0000 0.5000 0.0000 x2
O3 0.0000 0.5000 0.5000 x2
O4 0.5000 0.5000 0.2520 x2

Main lines, most intense first (10° ≤ 2θ ≤ 90°):
2θ = 41.1°, rel. 1000
2θ = 58.7°, rel. 565
2θ = 40.0°, rel. 501
2θ = 35.1°, rel. 469
2θ = 20.2°, rel. 338
2θ = 59.5°, rel. 292
2θ = 28.4°, rel. 290
2θ = 74.1°, rel. 255